# 1
Starting from a GGA-PBE-relaxed structure, the powder XRD pattern of YBe2TcGe2 was calculated for a wavelength of 1.5418 Å.
Peak positions follow from Bragg's law for the DFT cell and can differ from measured ones.

The 10 most intense peaks (10° ≤ 2θ ≤ 80°), in order of falling intensity:
Position (°2θ)	I/Imax
37.61	100
45.66	50
29.22	40
60.58	24
25.89	23
74.36	22
79.04	22
48.86	11
61.97	7
55.23	7

Cell and atoms:
Lattice parameters (Å, degrees): 3.9740 3.9740 6.6522 90.00 90.00 120.00
Fractional coordinates of all 6 atoms:
Y (0.0000, 0.0000, 0.0000)
Be (0.3333, 0.6667, 0.3545)
Be (0.6667, 0.3333, 0.6455)
Tc (0.0000, 0.0000, 0.5000)
Ge (0.3333, 0.6667, 0.7259)
Ge (0.6667, 0.3333, 0.2741)

# 2
Starting from a GGA-PBE-relaxed structure, the powder XRD pattern of Rb2PaSbO6 was calculated for a wavelength of 1.5418 Å.
Peak positions follow from Bragg's law for the DFT cell and can differ from measured ones.

The 10 most intense peaks (10° ≤ 2θ ≤ 80°), in order of falling intensity:
Position (°2θ)	I/Imax
29.68	100
29.55	51
52.51	42
42.28	31
20.78	22
52.75	19
69.57	18
61.63	18
42.67	14
20.96	11

Cell and atoms:
Lattice parameters (Å, degrees): 4.2748 4.2748 8.4766 90.00 90.00 90.00
Fractional coordinates of all 10 atoms:
Rb (0.0000, 0.0000, 0.2324)
Rb (0.0000, 0.0000, 0.7676)
Pa (0.5000, 0.5000, 0.5000)
Sb (0.5000, 0.5000, 0.0000)
O (0.0000, 0.5000, 0.0000)
O (0.0000, 0.5000, 0.5000)
O (0.5000, 0.0000, 0.0000)
O (0.5000, 0.0000, 0.5000)
O (0.5000, 0.5000, 0.2362)
O (0.5000, 0.5000, 0.7638)

# 3
Starting from a GGA-PBE-relaxed structure, the powder XRD pattern of CsH5Ir was calculated for a wavelength of 1.5418 Å.
Peak positions follow from Bragg's law for the DFT cell and can differ from measured ones.

The 10 most intense peaks (10° ≤ 2θ ≤ 80°), in order of falling intensity:
Position (°2θ)	I/Imax
31.51	100
27.14	72
50.77	52
38.75	29
58.64	17
78.92	15
63.28	14
65.65	12
65.78	12
55.97	10

Cell and atoms:
Lattice parameters (Å, degrees): 5.8704 5.8704 5.8704 111.95 104.68 111.89
Fractional coordinates of all 14 atoms:
Cs (0.2500, 0.0000, 0.2500)
Cs (0.7500, 0.0000, 0.7500)
H (0.1897, 0.4999, 0.3100)
H (0.1897, 0.8797, 0.6899)
H (0.2508, 0.5008, 0.7500)
H (0.3101, 0.1203, 0.8100)
H (0.3101, 0.5001, 0.1899)
H (0.6899, 0.4999, 0.8101)
H (0.6899, 0.8797, 0.1900)
H (0.7492, 0.4992, 0.2500)
H (0.8103, 0.1203, 0.3101)
H (0.8103, 0.5001, 0.6900)
Ir (0.0000, 0.5000, 0.5000)
Ir (0.5000, 0.5000, 0.0000)

# 4
Starting from a GGA-PBE-relaxed structure, the powder XRD pattern of LiTcAg2 was calculated for a wavelength of 1.5418 Å.
Peak positions follow from Bragg's law for the DFT cell and can differ from measured ones.

The 10 most intense peaks (10° ≤ 2θ ≤ 80°), in order of falling intensity:
Position (°2θ)	I/Imax
38.08	100
40.24	77
15.62	37
42.32	37
43.61	31
20.80	31
26.11	24
41.58	22
62.39	20
50.39	19

Cell and atoms:
Lattice parameters (Å, degrees): 2.6572 4.2713 5.7265 90.00 97.81 90.00
Fractional coordinates of all 4 atoms:
Li (0.0000, 0.0000, 0.0000)
Tc (0.0000, 0.0000, 0.5000)
Ag (0.4385, 0.5000, 0.2483)
Ag (0.5615, 0.5000, 0.7517)

# 5
Starting from a GGA-PBE-relaxed structure, the powder XRD pattern of PrBeSiPd6 was calculated for a wavelength of 1.5418 Å.
Peak positions follow from Bragg's law for the DFT cell and can differ from measured ones.

The 10 most intense peaks (10° ≤ 2θ ≤ 80°), in order of falling intensity:
Position (°2θ)	I/Imax
32.79	100
46.67	47
32.27	29
44.07	25
34.86	22
36.32	21
49.89	17
27.89	14
68.72	14
27.02	13

Cell and atoms:
Lattice parameters (Å, degrees): 7.8124 7.8124 7.8124 124.20 116.52 89.51
Fractional coordinates of all 18 atoms:
Pr (0.4273, 0.1773, 0.2500)
Pr (0.5727, 0.8227, 0.7500)
Be (0.0000, 0.5000, 0.5000)
Be (0.5000, 0.5000, 0.0000)
Si (0.0000, 0.0000, 0.5000)
Si (0.0000, 0.5000, 0.0000)
Pd (0.1081, 0.3942, 0.2533)
Pd (0.1081, 0.8548, 0.7139)
Pd (0.1358, 0.8858, 0.2500)
Pd (0.3141, 0.5641, 0.7500)
Pd (0.3591, 0.1452, 0.7533)
Pd (0.3591, 0.6058, 0.2139)
Pd (0.6409, 0.3942, 0.7861)
Pd (0.6409, 0.8548, 0.2467)
Pd (0.6859, 0.4359, 0.2500)
Pd (0.8642, 0.1142, 0.7500)
Pd (0.8919, 0.1452, 0.2861)
Pd (0.8919, 0.6058, 0.7467)